This entry pairs a crystal structure of AsHIrOsAu with its simulated powder X-ray diffraction pattern. Radiation: Cu Kα. Structure: a GGA-PBE-relaxed structure.
Kinematic intensities with the Lorentz-polarization factor, no thermal factor.

Largest 8 diffraction maxima, sorted by position, 10° ≤ 2θ ≤ 90°:
2theta  intensity
17.29  78.6
36.18  90.1
37.89  86.2
38.05  83.8
38.63  73.4
41.28  100.0
44.11  77.0
44.24  76.9

Structure:
```
5
Lattice="2.840 0.000 0.000 -0.024 4.992 0.000 -1.419 -0.531 5.130" Properties=species:S:1:pos:R:3 pbc="T T T"
As 0.000 0.000 0.000
H -0.026 2.321 0.438
Ir -0.026 3.300 3.279
Os 1.395 3.262 1.043
Au 1.393 0.893 2.737
```

***

This entry pairs a crystal structure of Tl4CdHg12 with its simulated powder X-ray diffraction pattern. Radiation: Cu Kα. Structure: a GGA-PBE-relaxed structure.
Kinematic intensities with the Lorentz-polarization factor, no thermal factor.

Largest 8 diffraction maxima, sorted by position, 10° ≤ 2θ ≤ 90°:
2theta  intensity
31.43  100.0
36.45  57.7
43.03  9.6
52.50  35.0
62.49  32.4
65.60  10.1
85.95  10.0
88.75  12.3

Structure:
```
17
Lattice="-4.930 4.930 4.930 4.930 -4.930 4.930 4.930 4.930 -4.930" Properties=species:S:1:pos:R:3 pbc="T T T"
Tl 2.465 2.465 -2.465
Tl 2.465 -2.465 2.465
Tl -2.465 2.465 2.465
Tl 2.465 2.465 2.465
Cd 0.000 0.000 0.000
Hg 2.917 0.000 0.000
Hg 6.942 0.000 0.000
Hg 4.930 2.465 0.000
Hg 4.930 0.000 2.465
Hg 0.000 2.917 0.000
Hg 0.000 0.000 2.917
Hg 2.465 4.930 0.000
Hg 2.465 0.000 4.930
Hg 0.000 6.942 0.000
Hg 0.000 0.000 6.942
Hg 0.000 4.930 2.465
Hg 0.000 2.465 4.930
```